# 1
# YTlCo
Computed powder diffraction line list, Cu Kα X-rays. Input: a DFT-relaxed cell (PBE, OQMD).

Top 8 peaks for 5 to 70 degrees two-theta, most intense first:
2θ 39.32, rel. 100; 2θ 27.53, rel. 54; 2θ 23.78, rel. 30; 2θ 64.28, rel. 20; 2θ 56.82, rel. 17; 2θ 46.47, rel. 16; 2θ 48.67, rel. 15; 2θ 62.46, rel. 7

Structure:
abc: 6.4809 6.4809 6.4809
angles: 90.00 90.00 90.00
Space group F-43m (No. 216)
Symmetry-distinct sites (fractional):
Y  0.0000  0.0000  0.0000 [4 per cell]
Tl  0.0000  0.0000  0.5000 [4 per cell]
Co  0.2500  0.2500  0.7500 [4 per cell]

# 2
# ZrTl2Co
Computed powder diffraction line list, Cu Kα X-rays. Input: a DFT-relaxed cell (PBE, OQMD).

Top 6 peaks for 5 to 70 degrees two-theta, most intense first:
2θ 36.98, rel. 100; 2θ 66.64, rel. 36; 2θ 22.40, rel. 22; 2θ 53.30, rel. 18; 2θ 43.66, rel. 13; 2θ 58.52, rel. 6

Structure:
abc: 6.8755 6.8755 6.8755
angles: 90.00 90.00 90.00
Space group F-43m (No. 216)
Symmetry-distinct sites (fractional):
Zr  0.0000  0.0000  0.0000 [4 per cell]
Tl  0.0000  0.0000  0.5000 [4 per cell]
Tl  0.2500  0.2500  0.2500 [4 per cell]
Co  0.2500  0.2500  0.7500 [4 per cell]

# 3
# Tm8Co
Computed powder diffraction line list, Cu Kα X-rays. Input: a DFT-relaxed cell (PBE, OQMD).

Top 10 peaks for 5 to 70 degrees two-theta, most intense first:
2θ 32.11, rel. 100; 2θ 30.72, rel. 73; 2θ 34.21, rel. 49; 2θ 34.96, rel. 45; 2θ 39.93, rel. 36; 2θ 58.25, rel. 27; 2θ 60.91, rel. 24; 2θ 60.77, rel. 21; 2θ 63.37, rel. 16; 2θ 51.04, rel. 15

Structure:
abc: 8.8909 8.8909 3.5786
angles: 90.00 90.00 120.00
Space group P-62m (No. 189)
Symmetry-distinct sites (fractional):
Tm  0.0000  0.2354  0.0000 [3 per cell]
Tm  0.0000  0.6157  0.5000 [3 per cell]
Tm  0.3333  0.6667  0.0000 [2 per cell]
Co  0.0000  0.0000  0.5000 [1 per cell]

# 4
# Tm2Co7
Computed powder diffraction line list, Cu Kα X-rays. Input: a DFT-relaxed cell (PBE, OQMD).

Top 10 peaks for 5 to 70 degrees two-theta, most intense first:
2θ 43.35, rel. 100; 2θ 36.63, rel. 52; 2θ 32.74, rel. 46; 2θ 42.63, rel. 35; 2θ 34.76, rel. 34; 2θ 45.70, rel. 14; 2θ 63.50, rel. 14; 2θ 68.63, rel. 11; 2θ 64.75, rel. 11; 2θ 21.05, rel. 10

Structure:
abc: 4.9066 4.9066 35.7372
angles: 90.00 90.00 120.00
Space group R-3m (No. 166, hexagonal axes)
Symmetry-distinct sites (fractional):
Tm  0.0000  0.0000  0.0516 [6 per cell]
Tm  0.0000  0.0000  0.1482 [6 per cell]
Co  0.0000  0.0000  0.2783 [6 per cell]
Co  0.0000  0.0000  0.3890 [6 per cell]
Co  0.0000  0.0000  0.5000 [3 per cell]
Co  0.0000  0.5000  0.0000 [9 per cell]
Co  0.0022  0.5011  0.8901 [18 per cell]

# 5
# Tm4Zn3Co2
Computed powder diffraction line list, Cu Kα X-rays. Input: a DFT-relaxed cell (PBE, OQMD).

Top 10 peaks for 5 to 70 degrees two-theta, most intense first:
2θ 35.42, rel. 100; 2θ 36.43, rel. 92; 2θ 24.84, rel. 41; 2θ 32.84, rel. 38; 2θ 39.78, rel. 34; 2θ 50.94, rel. 32; 2θ 41.60, rel. 25; 2θ 26.23, rel. 22; 2θ 60.90, rel. 17; 2θ 32.53, rel. 16

Structure:
abc: 6.9115 3.5858 7.4707
angles: 90.00 106.47 90.00
Space group P2/m (No. 10)
Symmetry-distinct sites (fractional):
Tm  0.0841  0.0000  0.2226 [2 per cell]
Tm  0.3938  0.0000  0.7036 [2 per cell]
Zn  0.0000  0.5000  0.5000 [1 per cell]
Zn  0.3019  0.5000  0.0163 [2 per cell]
Co  0.3435  0.5000  0.3944 [2 per cell]

# 6
# UCo
Computed powder diffraction line list, Cu Kα X-rays. Input: a DFT-relaxed cell (PBE, OQMD).

Top 10 peaks for 5 to 70 degrees two-theta, most intense first:
2θ 40.53, rel. 100; 2θ 28.35, rel. 57; 2θ 45.56, rel. 38; 2θ 54.54, rel. 25; 2θ 34.91, rel. 23; 2θ 50.20, rel. 13; 2θ 66.40, rel. 13; 2θ 58.65, rel. 10; 2θ 19.94, rel. 9; 2θ 62.60, rel. 5

Structure:
abc: 6.2960 6.2960 6.2960
angles: 90.00 90.00 90.00
Space group I2_13 (No. 199)
Symmetry-distinct sites (fractional):
U  0.2158  0.2158  0.2158 [8 per cell]
Co  0.0471  0.4529  0.5471 [8 per cell]

# 7
# U6Co
Computed powder diffraction line list, Cu Kα X-rays. Input: a DFT-relaxed cell (PBE, OQMD).

Top 10 peaks for 5 to 70 degrees two-theta, most intense first:
2θ 36.17, rel. 100; 2θ 34.72, rel. 27; 2θ 63.19, rel. 21; 2θ 45.29, rel. 13; 2θ 65.71, rel. 9; 2θ 58.30, rel. 8; 2θ 64.55, rel. 8; 2θ 57.76, rel. 7; 2θ 39.47, rel. 6; 2θ 53.88, rel. 6

Structure:
abc: 10.2092 10.2092 5.1672
angles: 90.00 90.00 90.00
Space group I4/mcm (No. 140)
Symmetry-distinct sites (fractional):
U  0.0940  0.4060  0.0000 [8 per cell]
U  0.1044  0.2167  0.5000 [16 per cell]
Co  0.0000  0.0000  0.2500 [4 per cell]

# 8
# UCo5
Computed powder diffraction line list, Cu Kα X-rays. Input: a DFT-relaxed cell (PBE, OQMD).

Top 10 peaks for 5 to 70 degrees two-theta, most intense first:
2θ 44.55, rel. 100; 2θ 37.97, rel. 52; 2θ 33.28, rel. 38; 2θ 21.80, rel. 37; 2θ 35.27, rel. 37; 2θ 44.44, rel. 26; 2θ 44.21, rel. 16; 2θ 45.79, rel. 15; 2θ 29.58, rel. 15; 2θ 46.35, rel. 14

Structure:
abc: 4.7395 4.7395 35.6702
angles: 90.00 90.00 120.00
Space group R-3m (No. 166, hexagonal axes)
Symmetry-distinct sites (fractional):
U  0.0000  0.0000  0.0000 [3 per cell]
U  0.0000  0.0000  0.0994 [6 per cell]
Co  0.0000  0.0000  0.2214 [6 per cell]
Co  0.0000  0.0000  0.3325 [6 per cell]
Co  0.0000  0.0000  0.4641 [6 per cell]
Co  0.0000  0.5000  0.5000 [9 per cell]
Co  0.0056  0.5028  0.0570 [18 per cell]